# Hf2B2As
Calculated powder XRD pattern, Cu Kα (λ = 1.5418 Å). Input: a structure optimized by DFT (GGA-PBE).
Lines closer than 0.1° are merged.

Main lines, by angle (2θ = 10–80°):
Position (°2θ)  I/Imax
25.9  50
28.7  26
29.1  34
35.5  95
39.0  100
39.3  93
44.4  39
53.3  21
57.2  17
65.7  32
66.5  37
71.7  37

abc: 3.2197 12.2882 3.4379
angles: 90.00 90.00 90.00
Space group Cmmm (No. 65)
One atom of each set of equivalent atoms:
1 Hf 0.0000 0.1379 0.0000 x4
2 B 0.0000 0.2756 0.5000 x4
3 As 0.0000 0.5000 0.5000 x2

---

# RbZn2
Calculated powder XRD pattern, Cu Kα (λ = 1.5418 Å). Input: a structure optimized by DFT (GGA-PBE).
Lines closer than 0.1° are merged.

Main lines, by angle (2θ = 10–80°):
Position (°2θ)  I/Imax
14.1  29
26.5  53
28.3  93
33.4  100
38.9  44
39.3  46
41.5  47
48.8  34
49.2  39
55.6  16
57.6  32
72.9  14

abc: 12.5979 5.3692 4.5814
angles: 90.00 90.00 90.00
Space group Cmcm (No. 63)
One atom of each set of equivalent atoms:
1 Rb 0.0000 0.2383 0.2500 x4
2 Zn 0.2287 0.3709 0.7500 x8

---

# ErZrTlC
Calculated powder XRD pattern, Cu Kα (λ = 1.5418 Å). Input: a structure optimized by DFT (GGA-PBE).
Lines closer than 0.1° are merged.

Main lines, by angle (2θ = 10–80°):
Position (°2θ)  I/Imax
11.3  3
28.6  3
29.7  19
30.2  3
31.9  5
34.4  100
46.1  13
52.7  18
56.1  3
61.7  16
64.5  30
72.6  5

abc: 3.4755 3.4755 15.6265
angles: 90.00 90.00 120.00
Space group P-3m1 (No. 164)
One atom of each set of equivalent atoms:
1 Er 0.3333 0.6667 0.4138 x2
2 Zr 0.3333 0.6667 0.0778 x2
3 Tl 0.3333 0.6667 0.7587 x2
4 C 0.0000 0.0000 0.0000 x1
5 C 0.0000 0.0000 0.5000 x1

---

# Y3Er4Ni2Te2
Calculated powder XRD pattern, Cu Kα (λ = 1.5418 Å). Input: a structure optimized by DFT (GGA-PBE).
Lines closer than 0.1° are merged.

Main lines, by angle (2θ = 10–80°):
Position (°2θ)  I/Imax
25.0  15
28.6  13
30.4  41
33.0  61
34.1  100
34.6  56
38.5  15
45.1  19
47.4  23
51.2  21
59.0  31
62.0  15

abc: 3.8390 15.5495 9.5489
angles: 90.00 90.00 90.00
Space group Imm2 (No. 44)
One atom of each set of equivalent atoms:
1 Y 0.0000 0.0000 0.0000 x2
2 Y 0.0000 0.3153 0.6205 x4
3 Er 0.0000 0.1320 0.4183 x4
4 Er 0.0000 0.3532 0.2692 x4
5 Ni 0.0000 0.2387 0.9272 x4
6 Te 0.0000 0.0000 0.6640 x2
7 Te 0.0000 0.5000 0.7652 x2

---

# Ba2FeAs2
Calculated powder XRD pattern, Cu Kα (λ = 1.5418 Å). Input: a structure optimized by DFT (GGA-PBE).
Lines closer than 0.1° are merged.

Main lines, by angle (2θ = 10–80°):
Position (°2θ)  I/Imax
23.0  43
25.4  53
26.2  75
28.1  82
29.9  84
32.5  54
35.3  43
36.8  71
38.3  78
38.8  100
54.8  34
57.6  32

abc: 7.0009 13.6082 6.3461
angles: 90.00 90.00 90.00
Space group Ibam (No. 72)
One atom of each set of equivalent atoms:
1 Ba 0.1925 0.1413 0.0000 x8
2 Fe 0.0000 0.5000 0.2500 x4
3 As 0.1930 0.3972 0.0000 x8

---

# AlW3
Calculated powder XRD pattern, Cu Kα (λ = 1.5418 Å). Input: a structure optimized by DFT (GGA-PBE).
Lines closer than 0.1° are merged.

Main lines, by angle (2θ = 10–80°):
Position (°2θ)  I/Imax
18.2  18
26.4  19
31.7  10
36.8  24
38.7  28
41.8  100
50.8  5
53.4  11
54.4  15
66.3  17
72.1  20
79.5  20

abc: 5.6397 5.6397 4.6585
angles: 90.00 90.00 120.00
Space group P6_3/mmc (No. 194)
One atom of each set of equivalent atoms:
1 Al 0.3333 0.6667 0.2500 x2
2 W 0.1601 0.3203 0.7500 x6